The following is a calculated powder X-ray diffraction pattern of NbCd2FeO6. It was derived from a cell relaxed with PBE+U, using a wavelength of 1.5418 Å.

Main lines, in order of rising 2θ (2θ from 10° to 90°):
d_spacing	I/Imax
2.759	100
2.724	88
2.229	7
1.938	52
1.600	18
1.579	38
1.573	24
1.379	15
1.362	12
1.231	15
1.221	14
1.114	6

Structure:
abc: 5.5183 5.5183 5.5183
angles: 59.16 59.16 59.16
Element x y z (fractional)
Nb  0.0000  0.0000  0.0000
Cd  0.2432  0.2432  0.2432
Cd  0.7568  0.7568  0.7568
Fe  0.5000  0.5000  0.5000
O  0.1622  0.3437  0.7489
O  0.2511  0.8378  0.6563
O  0.3437  0.7489  0.1622
O  0.6563  0.2511  0.8378
O  0.7489  0.1622  0.3437
O  0.8378  0.6563  0.2511